[1]
Starting from a PBE-relaxed structure, the powder diffraction line list of PmCrAs was calculated for CuKα.
Intensities are scaled so that the largest is 100.

Most intense lines, 10 to 90 degrees two-theta, in order of rising 2θ:
- hkl 1 0 1, 2θ 23.8, intensity 82.6
- hkl 2 1 0, 2θ 24.3, intensity 32.5
- hkl 1 2 1, 2θ 32.4, intensity 75.8
- hkl 1 3 0, 2θ 34.6, intensity 100.0
- hkl 3 0 1, 2θ 39.4, intensity 67.9
- hkl 0 0 2, 2θ 43.1, intensity 37.2
- hkl 3 2 1, 2θ 45.4, intensity 78.2
- hkl 1 3 2, 2θ 56.4, intensity 48.6

Structural model:
```
data_PmCrAs
_symmetry_space_group_name_H-M 'P 42/m'
_symmetry_Int_Tables_number 84
_cell_length_a 8.197
_cell_length_b 8.197
_cell_length_c 4.195
_cell_angle_alpha 90.00
_cell_angle_beta 90.00
_cell_angle_gamma 90.00
loop_
_symmetry_equiv_pos_as_xyz
'x,y,z'
'-x,-y,-z'
'-y,x,z+1/2'
'y,-x,-z+1/2'
'-x,-y,z'
'x,y,-z'
'y,-x,z+1/2'
'-y,x,-z+1/2'
loop_
_atom_site_label
_atom_site_fract_x
_atom_site_fract_y
_atom_site_fract_z
Pm1 0.116 0.277 0.000
Cr1 0.377 0.528 0.500
As1 0.223 0.624 0.000
```


[2]
Starting from a PBE-relaxed structure, the powder diffraction line list of CrAsPt2 was calculated for CuKα.
Intensities are scaled so that the largest is 100.

Most intense lines, 10 to 90 degrees two-theta, in order of rising 2θ:
- hkl 0 0 2, 2θ 15.9, intensity 18.6
- hkl 1 0 2, 2θ 28.2, intensity 21.8
- hkl 0 1 3, 2θ 39.6, intensity 24.2
- hkl 1 0 4, 2θ 39.9, intensity 100.0
- hkl 2 0 0, 2θ 47.4, intensity 15.4
- hkl 0 1 5, 2θ 51.8, intensity 13.2
- hkl 1 2 4, 2θ 78.8, intensity 13.1
- hkl 3 0 4, 2θ 83.0, intensity 12.2

Structural model:
```
data_CrAsPt2
_symmetry_space_group_name_H-M 'A m m 2'
_symmetry_Int_Tables_number 38
_cell_length_a 3.839
_cell_length_b 2.880
_cell_length_c 11.175
_cell_angle_alpha 90.00
_cell_angle_beta 90.00
_cell_angle_gamma 90.00
loop_
_symmetry_equiv_pos_as_xyz
'x,y,z'
'-x,-y,z'
'-x,y,z'
'x,-y,z'
'x,y+1/2,z+1/2'
'-x,-y+1/2,z+1/2'
'-x,y+1/2,z+1/2'
'x,-y+1/2,z+1/2'
loop_
_atom_site_label
_atom_site_fract_x
_atom_site_fract_y
_atom_site_fract_z
Cr1 0.000 0.000 0.000
As1 0.500 0.000 0.403
Pt1 0.000 0.000 0.261
Pt2 0.500 0.000 0.627
```


[3]
Starting from a PBE-relaxed structure, the powder diffraction line list of RbCrAs2 was calculated for CuKα.
Intensities are scaled so that the largest is 100.

Most intense lines, 10 to 90 degrees two-theta, in order of rising 2θ:
- hkl 1 0 1, 2θ 15.7, intensity 43.9
- hkl 1 1 2, 2θ 24.3, intensity 100.0
- hkl 1 0 3, 2θ 25.0, intensity 46.6
- hkl 2 0 0, 2θ 28.5, intensity 33.2
- hkl 2 0 2, 2θ 31.7, intensity 60.1
- hkl 2 1 1, 2θ 32.7, intensity 46.4
- hkl 3 1 2, 2θ 48.0, intensity 29.4
- hkl 2 2 4, 2θ 49.8, intensity 59.3

Structural model:
```
data_RbCrAs2
_symmetry_space_group_name_H-M 'I 41/a m d'
_symmetry_Int_Tables_number 141
_cell_length_a 6.261
_cell_length_b 6.261
_cell_length_c 13.026
_cell_angle_alpha 90.00
_cell_angle_beta 90.00
_cell_angle_gamma 90.00
loop_
_symmetry_equiv_pos_as_xyz
'x,y,z'
'-x,-y,-z'
'-y+1/4,x+3/4,z+1/4'
'y+1/4,-x+3/4,-z+1/4'
'-x+1/2,-y,z+1/2'
'x+1/2,y,-z+1/2'
'y+1/4,-x+1/4,z+3/4'
'-y+1/4,x+1/4,-z+3/4'
'x,-y,-z'
'-x,y,z'
'-y+1/4,-x+1/4,-z+3/4'
'y+1/4,x+1/4,z+3/4'
'-x+1/2,y,-z+1/2'
'x+1/2,-y,z+1/2'
'y+1/4,x+3/4,-z+1/4'
'-y+1/4,-x+3/4,z+1/4'
'x+1/2,y+1/2,z+1/2'
'-x+1/2,-y+1/2,-z+1/2'
'-y+3/4,x+1/4,z+3/4'
'y+3/4,-x+1/4,-z+3/4'
'-x,-y+1/2,z'
'x,y+1/2,-z'
'y+3/4,-x+3/4,z+1/4'
'-y+3/4,x+3/4,-z+1/4'
'x+1/2,-y+1/2,-z+1/2'
'-x+1/2,y+1/2,z+1/2'
'-y+3/4,-x+3/4,-z+1/4'
'y+3/4,x+3/4,z+1/4'
'-x,y+1/2,-z'
'x,-y+1/2,z'
'y+3/4,x+1/4,-z+3/4'
'-y+3/4,-x+1/4,z+3/4'
loop_
_atom_site_label
_atom_site_fract_x
_atom_site_fract_y
_atom_site_fract_z
Rb1 0.000 0.250 0.375
Cr1 0.000 0.250 0.875
As1 0.000 0.000 0.000
```


[4]
Starting from a PBE-relaxed structure, the powder diffraction line list of CrReAs was calculated for CuKα.
Intensities are scaled so that the largest is 100.

Most intense lines, 10 to 90 degrees two-theta, in order of rising 2θ:
- hkl 1 0 1, 2θ 31.3, intensity 26.7
- hkl 1 0 3, 2θ 39.5, intensity 100.0
- hkl 1 1 0, 2θ 43.1, intensity 54.7
- hkl 1 1 1, 2θ 44.0, intensity 15.0
- hkl 1 0 4, 2θ 45.7, intensity 45.0
- hkl 2 0 0, 2θ 62.6, intensity 17.8
- hkl 2 1 3, 2θ 76.6, intensity 28.2
- hkl 2 1 4, 2θ 80.9, intensity 16.7

Structural model:
```
data_CrReAs
_symmetry_space_group_name_H-M 'P 4/n m m'
_symmetry_Int_Tables_number 129
_cell_length_a 2.967
_cell_length_b 2.967
_cell_length_c 10.672
_cell_angle_alpha 90.00
_cell_angle_beta 90.00
_cell_angle_gamma 90.00
loop_
_symmetry_equiv_pos_as_xyz
'x,y,z'
'-x,-y,-z'
'-y+1/2,x,z'
'y+1/2,-x,-z'
'-x+1/2,-y+1/2,z'
'x+1/2,y+1/2,-z'
'y,-x+1/2,z'
'-y,x+1/2,-z'
'x+1/2,-y,-z'
'-x+1/2,y,z'
'-y,-x,-z'
'y,x,z'
'-x,y+1/2,-z'
'x,-y+1/2,z'
'y+1/2,x+1/2,-z'
'-y+1/2,-x+1/2,z'
loop_
_atom_site_label
_atom_site_fract_x
_atom_site_fract_y
_atom_site_fract_z
Cr1 0.250 0.250 0.218
Re1 0.250 0.250 0.914
As1 0.250 0.250 0.639
```


[5]
Starting from a PBE-relaxed structure, the powder diffraction line list of Cr2As2Rh was calculated for CuKα.
Intensities are scaled so that the largest is 100.

Most intense lines, 10 to 90 degrees two-theta, in order of rising 2θ:
- hkl 0 0 1, 2θ 26.9, intensity 21.5
- hkl 1 1 1, 2θ 32.9, intensity 20.7
- hkl 2 1 1, 2θ 40.5, intensity 100.0
- hkl 3 1 0, 2θ 42.5, intensity 67.9
- hkl 3 1 1, 2θ 51.0, intensity 22.3
- hkl 0 0 2, 2θ 55.4, intensity 16.0
- hkl 3 1 2, 2θ 72.2, intensity 26.4
- hkl 5 2 1, 2θ 82.5, intensity 17.0

Structural model:
```
data_Cr2As2Rh
_symmetry_space_group_name_H-M 'P 4/m b m'
_symmetry_Int_Tables_number 127
_symmetry_space_group_name_Hall '-P 4 2ab'
_cell_length_a 6.732
_cell_length_b 6.732
_cell_length_c 3.315
_cell_angle_alpha 90.00
_cell_angle_beta 90.00
_cell_angle_gamma 90.00
loop_
_atom_site_label
_atom_site_fract_x
_atom_site_fract_y
_atom_site_fract_z
Cr1 0.145 0.355 0.000
As1 0.154 0.654 0.500
Rh1 0.000 0.000 0.500
```


[6]
Starting from a PBE-relaxed structure, the powder diffraction line list of CrAsSe2 was calculated for CuKα.
Intensities are scaled so that the largest is 100.

Most intense lines, 10 to 90 degrees two-theta, in order of rising 2θ:
- hkl 0 0 3, 2θ 10.8, intensity 35.5
- hkl 1 0 1, 2θ 29.4, intensity 84.0
- hkl 0 1 2, 2θ 30.0, intensity 100.0
- hkl 0 0 9, 2θ 32.8, intensity 31.7
- hkl 0 1 5, 2θ 34.5, intensity 43.1
- hkl 0 1 8, 2θ 41.6, intensity 84.0
- hkl 1 0 10, 2θ 47.4, intensity 72.8
- hkl 1 1 0, 2θ 51.7, intensity 65.2

Structural model:
```
data_CrAsSe2
_symmetry_space_group_name_H-M 'R -3 m'
_symmetry_Int_Tables_number 166
_symmetry_space_group_name_Hall '-R 3 2"'
_cell_length_a 3.5392
_cell_length_b 3.5392
_cell_length_c 24.6100
_cell_angle_alpha 90.00
_cell_angle_beta 90.00
_cell_angle_gamma 120.00
loop_
_atom_site_label
_atom_site_fract_x
_atom_site_fract_y
_atom_site_fract_z
Cr1 0.0000 0.0000 0.0000
As1 0.0000 0.0000 0.5000
Se1 0.0000 0.0000 0.3916
```


[7]
Starting from a PBE-relaxed structure, the powder diffraction line list of Cr4SiAs was calculated for CuKα.
Intensities are scaled so that the largest is 100.

Most intense lines, 10 to 90 degrees two-theta, in order of rising 2θ:
- hkl 1 1 1, 2θ 22.8, intensity 13.5
- hkl 2 0 0, 2θ 26.4, intensity 7.4
- hkl 2 2 0, 2θ 37.6, intensity 26.9
- hkl 3 1 1, 2θ 44.4, intensity 100.0
- hkl 2 2 2, 2θ 46.5, intensity 40.1
- hkl 4 2 2, 2θ 67.9, intensity 9.2
- hkl 5 1 1, 2θ 72.6, intensity 27.9
- hkl 4 4 0, 2θ 80.3, intensity 22.9

Structural model:
```
data_Cr4SiAs
_symmetry_space_group_name_H-M 'F -4 3 m'
_symmetry_Int_Tables_number 216
_symmetry_space_group_name_Hall 'F -4 2 3'
_cell_length_a 6.764
_cell_length_b 6.764
_cell_length_c 6.764
_cell_angle_alpha 90.00
_cell_angle_beta 90.00
_cell_angle_gamma 90.00
loop_
_atom_site_label
_atom_site_fract_x
_atom_site_fract_y
_atom_site_fract_z
Cr1 0.125 0.125 0.125
Si1 0.250 0.250 0.750
As1 0.000 0.000 0.500
```


[8]
Starting from a PBE-relaxed structure, the powder diffraction line list of CrTc2As4 was calculated for CuKα.
Intensities are scaled so that the largest is 100.

Most intense lines, 10 to 90 degrees two-theta, in order of rising 2θ:
- hkl 2 0 0, 2θ 15.0, intensity 45.8
- hkl 1 1 -1, 2θ 31.8, intensity 23.4
- hkl 3 1 -1, 2θ 36.0, intensity 100.0
- hkl 2 0 2, 2θ 39.5, intensity 33.9
- hkl 3 1 1, 2θ 43.4, intensity 30.0
- hkl 6 0 -2, 2θ 44.0, intensity 30.2
- hkl 1 1 2, 2θ 45.2, intensity 34.0
- hkl 0 2 0, 2θ 58.8, intensity 24.9

Structural model:
```
data_CrTc2As4
_symmetry_space_group_name_H-M 'C 1 2/m 1'
_symmetry_Int_Tables_number 12
_cell_length_a 12.885
_cell_length_b 3.140
_cell_length_c 6.376
_cell_angle_alpha 90.00
_cell_angle_beta 113.58
_cell_angle_gamma 90.00
loop_
_symmetry_equiv_pos_as_xyz
'x,y,z'
'-x,-y,-z'
'-x,y,-z'
'x,-y,z'
'x+1/2,y+1/2,z'
'-x+1/2,-y+1/2,-z'
'-x+1/2,y+1/2,-z'
'x+1/2,-y+1/2,z'
loop_
_atom_site_label
_atom_site_fract_x
_atom_site_fract_y
_atom_site_fract_z
Cr1 0.000 0.000 0.000
Tc1 0.246 0.500 0.691
As1 0.095 0.500 0.307
As2 0.150 0.000 0.864
```